Theoretical X-ray powder pattern
Compound: PrAs12Ru4
Radiation: Cu Kα, 1.54184 Å
Structure: a structure optimized by DFT (PBE)

The 12 most intense peaks (5 to 70 degrees two-theta), by angle:
2θ/deg, intensity
20.64, 6.3
29.35, 31.8
32.91, 100.0
39.16, 46.2
41.99, 5.2
47.23, 31.7
52.05, 45.1
54.35, 39.1
58.76, 2.6
62.97, 6.1
65.02, 3.5
69.01, 13.8

Crystal structure
Cell: 7.454 7.454 7.454 Å, 109.47 109.47 109.47°
Atoms (fractional coordinates):
Pr 0.000 0.000 0.000
As 0.150 0.499 0.349
As 0.150 0.801 0.651
As 0.199 0.349 0.850
As 0.349 0.150 0.499
As 0.349 0.850 0.199
As 0.499 0.349 0.150
As 0.501 0.651 0.850
As 0.651 0.150 0.801
As 0.651 0.850 0.501
As 0.801 0.651 0.150
As 0.850 0.199 0.349
As 0.850 0.501 0.651
Ru 0.000 0.000 0.500
Ru 0.000 0.500 0.000
Ru 0.500 0.000 0.000
Ru 0.500 0.500 0.500

---

Theoretical X-ray powder pattern
Compound: Na3YC3O9
Radiation: Cu Kα, 1.54184 Å
Structure: a structure optimized by DFT (PBE)

The 12 most intense peaks (5 to 70 degrees two-theta), by angle:
2θ/deg, intensity
16.07, 51.3
17.27, 100.0
17.77, 54.3
23.20, 21.5
28.74, 23.0
30.79, 32.9
34.94, 73.2
35.99, 34.6
41.38, 26.8
42.91, 23.2
44.30, 24.4
45.39, 33.5

Crystal structure
Cell: 9.980 6.569 6.569 Å, 114.23 90.00 90.00°
Atoms (fractional coordinates):
Na 0.000 0.000 0.000
Na 0.250 0.336 0.299
Na 0.250 0.728 0.137
Na 0.500 0.000 0.000
Na 0.750 0.137 0.728
Na 0.750 0.299 0.336
Y 0.250 0.158 0.703
Y 0.750 0.703 0.158
C 0.001 0.051 0.464
C 0.250 0.717 0.693
C 0.499 0.051 0.464
C 0.501 0.464 0.051
C 0.750 0.693 0.717
C 0.999 0.464 0.051
O 0.012 0.038 0.654
O 0.110 0.092 0.377
O 0.113 0.365 0.030
O 0.250 0.523 0.699
O 0.250 0.741 0.507
O 0.250 0.901 0.879
O 0.387 0.365 0.030
O 0.390 0.092 0.377
O 0.488 0.038 0.654
O 0.512 0.654 0.038
O 0.610 0.377 0.092
O 0.613 0.030 0.365
O 0.750 0.507 0.741
O 0.750 0.699 0.523
O 0.750 0.879 0.901
O 0.887 0.030 0.365
O 0.890 0.377 0.092
O 0.988 0.654 0.038